(1)
Structure and computed PXRD pattern of Sc3Pt2Au2 (DFT lattice parameters and positions (PBE); Cu Kα).

Structural model:
```
data_Sc3Pt2Au2
_cell_length_a 4.717
_cell_length_b 4.724
_cell_length_c 7.280
_cell_angle_alpha 100.10
_cell_angle_beta 98.87
_cell_angle_gamma 119.00
_symmetry_space_group_name_H-M 'P -1'
_symmetry_Int_Tables_number 2
_symmetry_space_group_name_Hall '-P 1'
loop_
_atom_site_label
_atom_site_fract_x
_atom_site_fract_y
_atom_site_fract_z
Sc1 0.000 0.000 0.000
Sc2 0.462 0.819 0.283
Pt1 0.186 0.199 0.385
Au1 0.257 0.576 0.831
```

The 12 most intense peaks (2θ = 10–80°), low angle first:
hkl	2theta	d (Å)	Rel. int.
1 -1 1	25.3	3.521	93
0 1 1	29.1	3.067	69
1 0 -2	29.3	3.053	67
-1 1 2	34.3	2.612	54
1 1 -1	37.5	2.396	100
2 -1 0	38.6	2.330	96
1 -2 0	38.8	2.322	52
1 0 2	39.1	2.302	77
0 1 -3	39.3	2.294	77
0 2 -2	45.8	1.981	41
2 0 -3	51.9	1.761	27
3 0 -1	68.5	1.370	23

(2)
Structure and computed PXRD pattern of Sr12Ca3Cd (DFT lattice parameters and positions (PBE); Cu Kα).

Structural model:
```
data_Sr12Ca3Cd
_cell_length_a 5.887
_cell_length_b 5.887
_cell_length_c 22.677
_cell_angle_alpha 90.00
_cell_angle_beta 90.00
_cell_angle_gamma 90.00
_symmetry_space_group_name_H-M 'P 4/m m m'
_symmetry_Int_Tables_number 123
_symmetry_space_group_name_Hall '-P 4 2'
loop_
_atom_site_label
_atom_site_fract_x
_atom_site_fract_y
_atom_site_fract_z
Sr1 0.000 0.000 0.000
Sr2 0.000 0.000 0.238
Sr3 0.000 0.000 0.500
Sr4 0.000 0.500 0.110
Sr5 0.000 0.500 0.370
Ca1 0.500 0.500 0.241
Ca2 0.500 0.500 0.500
Cd1 0.500 0.500 0.000
```

The 12 most intense peaks (2θ = 10–80°), low angle first:
hkl	2theta	d (Å)	Rel. int.
1 1 4	26.6	3.356	100
2 0 0	30.4	2.944	38
0 0 8	31.6	2.835	14
2 2 0	43.5	2.082	14
2 0 8	44.4	2.042	20
3 1 4	51.7	1.769	31
1 1 12	53.2	1.721	10
2 2 8	54.7	1.678	11
3 3 4	69.8	1.348	6
3 1 12	71.1	1.326	7
4 2 0	71.7	1.316	6
4 0 8	72.3	1.306	5

(3)
Structure and computed PXRD pattern of Ac3GePd2 (DFT lattice parameters and positions (PBE); Cu Kα).

Structural model:
```
data_Ac3GePd2
_cell_length_a 7.9171
_cell_length_b 7.9171
_cell_length_c 21.0193
_cell_angle_alpha 90.00
_cell_angle_beta 90.00
_cell_angle_gamma 120.00
_symmetry_space_group_name_H-M 'R -3 c'
_symmetry_Int_Tables_number 167
_symmetry_space_group_name_Hall '-R 3 2"c'
loop_
_atom_site_label
_atom_site_fract_x
_atom_site_fract_y
_atom_site_fract_z
Ac1 0.0000 0.3085 0.2500
Ge1 0.0000 0.0000 0.0000
Pd1 0.0000 0.0000 0.1515
```

The 12 most intense peaks (2θ = 10–80°), low angle first:
hkl	2theta	d (Å)	Rel. int.
0 0 6	25.4	3.503	9
1 1 3	25.9	3.446	100
1 1 6	34.2	2.623	53
3 0 0	39.4	2.285	44
1 1 9	45.1	2.011	25
3 0 6	47.5	1.914	8
2 2 3	47.7	1.905	17
2 2 6	53.1	1.723	14
4 1 3	63.6	1.463	13
3 0 12	67.4	1.390	14
4 1 6	68.2	1.376	13
3 3 0	71.5	1.320	12

(4)
Structure and computed PXRD pattern of Mg4Pd3Au2 (DFT lattice parameters and positions (PBE); Cu Kα).

Structural model:
```
data_Mg4Pd3Au2
_cell_length_a 4.220
_cell_length_b 4.797
_cell_length_c 8.483
_cell_angle_alpha 100.04
_cell_angle_beta 90.01
_cell_angle_gamma 116.09
_symmetry_space_group_name_H-M 'P -1'
_symmetry_Int_Tables_number 2
_symmetry_space_group_name_Hall '-P 1'
loop_
_atom_site_label
_atom_site_fract_x
_atom_site_fract_y
_atom_site_fract_z
Mg1 0.021 0.040 0.339
Mg2 0.342 0.683 0.111
Pd1 0.000 0.000 0.000
Pd2 0.338 0.676 0.434
Au1 0.322 0.644 0.779
```

The 12 most intense peaks (2θ = 10–80°), low angle first:
hkl	2theta	d (Å)	Rel. int.
0 1 -1	21.7	4.104	33
1 0 1	26.8	3.331	54
0 1 -2	27.0	3.303	37
-1 1 2	33.4	2.683	34
1 1 0	38.4	2.343	100
1 0 -3	38.6	2.334	100
0 1 3	42.3	2.136	38
2 -1 0	42.9	2.110	38
0 2 -3	48.8	1.865	24
2 0 3	61.8	1.501	25
2 -3 3	67.0	1.397	18
-3 1 3	75.6	1.258	20

(5)
Structure and computed PXRD pattern of Pm6AgSb2 (DFT lattice parameters and positions (PBE); Cu Kα).

Structural model:
```
data_Pm6AgSb2
_cell_length_a 8.6490
_cell_length_b 8.6490
_cell_length_c 4.1621
_cell_angle_alpha 90.00
_cell_angle_beta 90.00
_cell_angle_gamma 120.00
_symmetry_space_group_name_H-M 'P -6 2 m'
_symmetry_Int_Tables_number 189
_symmetry_space_group_name_Hall 'P -6 -2'
loop_
_atom_site_label
_atom_site_fract_x
_atom_site_fract_y
_atom_site_fract_z
Pm1 0.0000 0.4081 0.0000
Pm2 0.0000 0.7387 0.5000
Ag1 0.0000 0.0000 0.0000
Sb1 0.3333 0.6667 0.5000
```

The 12 most intense peaks (2θ = 10–80°), low angle first:
hkl	2theta	d (Å)	Rel. int.
1 1 1	29.8	2.999	100
2 1 0	31.6	2.831	54
2 0 1	32.2	2.784	86
3 0 0	36.0	2.497	44
2 1 1	38.5	2.341	27
0 0 2	43.5	2.080	36
3 1 1	49.0	1.859	13
2 1 2	54.7	1.677	23
3 0 2	57.7	1.599	22
3 2 1	58.1	1.588	38
5 0 1	66.3	1.410	10
5 1 1	74.1	1.280	10

(6)
Structure and computed PXRD pattern of Li3B4C4 (DFT lattice parameters and positions (PBE); Cu Kα).

Structural model:
```
data_Li3B4C4
_cell_length_a 14.601
_cell_length_b 4.719
_cell_length_c 5.449
_cell_angle_alpha 90.00
_cell_angle_beta 100.81
_cell_angle_gamma 90.00
_symmetry_space_group_name_H-M 'C 1 2 1'
_symmetry_Int_Tables_number 5
_symmetry_space_group_name_Hall 'C 2y'
loop_
_atom_site_label
_atom_site_fract_x
_atom_site_fract_y
_atom_site_fract_z
Li1 0.125 0.000 0.054
Li2 0.125 0.000 0.570
Li3 0.125 0.499 0.313
B1 0.000 0.337 0.500
B2 0.000 0.338 0.000
B3 0.001 0.833 0.250
B4 0.248 0.664 0.123
B5 0.249 0.662 0.626
C1 0.000 0.669 0.000
C2 0.000 0.669 0.500
C3 0.003 0.168 0.252
C4 0.247 0.828 0.374
C5 0.250 0.332 0.126
```

The 12 most intense peaks (2θ = 10–80°), low angle first:
hkl	2theta	d (Å)	Rel. int.
2 0 -1	18.7	4.736	1
1 1 0	19.8	4.482	1
2 0 1	22.5	3.949	1
4 0 0	24.8	3.585	100
1 1 1	26.7	3.341	1
0 2 0	38.1	2.359	8
1 1 2	40.2	2.241	2
4 2 0	46.1	1.971	53
8 0 0	50.9	1.793	17
7 1 2	65.4	1.427	1
2 0 -4	68.9	1.362	18
2 0 4	74.5	1.273	9

(7)
Structure and computed PXRD pattern of PaGaFe4H6 (DFT lattice parameters and positions (PBE); Cu Kα).

Structural model:
```
data_PaGaFe4H6
_cell_length_a 4.2592
_cell_length_b 4.2592
_cell_length_c 6.6627
_cell_angle_alpha 90.00
_cell_angle_beta 90.00
_cell_angle_gamma 120.00
_symmetry_space_group_name_H-M 'P 6/m m m'
_symmetry_Int_Tables_number 191
_symmetry_space_group_name_Hall '-P 6 2'
loop_
_atom_site_label
_atom_site_fract_x
_atom_site_fract_y
_atom_site_fract_z
Pa1 0.0000 0.0000 0.0000
Ga1 0.0000 0.0000 0.5000
Fe1 0.3333 0.6667 0.3208
H1 0.0000 0.5000 0.1443
```

The 12 most intense peaks (2θ = 10–80°), low angle first:
hkl	2theta	d (Å)	Rel. int.
1 0 0	24.1	3.689	31
1 0 1	27.6	3.227	58
1 0 2	36.3	2.472	100
0 0 3	40.6	2.221	12
1 1 0	42.4	2.130	65
2 0 1	51.4	1.777	12
2 0 2	57.1	1.614	27
1 1 3	60.2	1.537	23
1 0 4	61.0	1.518	17
2 1 1	68.8	1.365	9
2 1 2	73.7	1.286	25
3 0 0	77.7	1.230	10

(8)
Structure and computed PXRD pattern of CdAg3Pd4 (DFT lattice parameters and positions (PBE); Cu Kα).

Structural model:
```
data_CdAg3Pd4
_cell_length_a 4.145
_cell_length_b 4.145
_cell_length_c 15.598
_cell_angle_alpha 90.00
_cell_angle_beta 90.00
_cell_angle_gamma 90.00
_symmetry_space_group_name_H-M 'I 4/m m m'
_symmetry_Int_Tables_number 139
_symmetry_space_group_name_Hall '-I 4 2'
loop_
_atom_site_label
_atom_site_fract_x
_atom_site_fract_y
_atom_site_fract_z
Cd1 0.000 0.000 0.000
Ag1 0.000 0.000 0.250
Ag2 0.000 0.000 0.500
Pd1 0.000 0.500 0.125
```

The 6 most intense peaks (2θ = 10–80°), low angle first:
hkl	2theta	d (Å)	Rel. int.
1 1 4	38.4	2.343	100
2 0 0	43.7	2.072	34
0 0 8	46.6	1.950	14
2 2 0	63.5	1.465	11
2 0 8	65.8	1.420	19
3 1 4	76.7	1.242	25

(9)
Structure and computed PXRD pattern of ZrTlCl4 (DFT lattice parameters and positions (PBE); Cu Kα).

Structural model:
```
data_ZrTlCl4
_cell_length_a 10.360
_cell_length_b 10.360
_cell_length_c 3.421
_cell_angle_alpha 90.00
_cell_angle_beta 90.00
_cell_angle_gamma 90.00
_symmetry_space_group_name_H-M 'P 4/n m m'
_symmetry_Int_Tables_number 129
loop_
_symmetry_equiv_pos_as_xyz
'x,y,z'
'-x,-y,-z'
'-y+1/2,x,z'
'y+1/2,-x,-z'
'-x+1/2,-y+1/2,z'
'x+1/2,y+1/2,-z'
'y,-x+1/2,z'
'-y,x+1/2,-z'
'x+1/2,-y,-z'
'-x+1/2,y,z'
'-y,-x,-z'
'y,x,z'
'-x,y+1/2,-z'
'x,-y+1/2,z'
'y+1/2,x+1/2,-z'
'-y+1/2,-x+1/2,z'
loop_
_atom_site_label
_atom_site_fract_x
_atom_site_fract_y
_atom_site_fract_z
Zr1 0.250 0.750 0.000
Tl1 0.250 0.250 0.068
Cl1 0.038 0.750 0.333
```

The 12 most intense peaks (2θ = 10–80°), low angle first:
hkl	2theta	d (Å)	Rel. int.
2 0 0	17.1	5.180	100
2 2 0	24.3	3.663	12
3 1 0	27.2	3.276	13
2 0 1	31.3	2.854	37
2 1 1	32.5	2.752	21
4 0 0	34.6	2.590	32
2 2 1	35.9	2.500	40
4 2 0	38.9	2.317	21
4 0 1	43.8	2.065	10
4 2 1	47.4	1.918	26
4 4 0	49.8	1.831	9
6 2 1	62.9	1.477	13

(10)
Structure and computed PXRD pattern of Tb2DyScTl4 (DFT lattice parameters and positions (PBE); Cu Kα).

Structural model:
```
data_Tb2DyScTl4
_cell_length_a 5.3085
_cell_length_b 5.3085
_cell_length_c 26.1119
_cell_angle_alpha 90.00
_cell_angle_beta 90.00
_cell_angle_gamma 120.00
_symmetry_space_group_name_H-M 'R -3 m'
_symmetry_Int_Tables_number 166
_symmetry_space_group_name_Hall '-R 3 2"'
loop_
_atom_site_label
_atom_site_fract_x
_atom_site_fract_y
_atom_site_fract_z
Tb1 0.0000 0.0000 0.2486
Dy1 0.0000 0.0000 0.0000
Sc1 0.0000 0.0000 0.5000
Tl1 0.0000 0.0000 0.1263
Tl2 0.0000 0.0000 0.3765
```

The 12 most intense peaks (2θ = 10–80°), low angle first:
hkl	2theta	d (Å)	Rel. int.
0 0 3	10.2	8.704	1
1 0 1	19.6	4.528	1
0 0 6	20.5	4.340	2
1 0 4	23.7	3.759	5
0 1 5	25.8	3.451	1
1 1 0	33.7	2.658	100
0 2 4	41.7	2.168	1
2 0 8	48.4	1.879	18
1 0 16	60.2	1.538	9
3 0 0	60.4	1.533	28
0 2 16	70.8	1.331	6
2 2 0	71.0	1.327	6

(11)
Structure and computed PXRD pattern of AcNd4Se6 (DFT lattice parameters and positions (PBE); Cu Kα).

Structural model:
```
data_AcNd4Se6
_cell_length_a 4.227
_cell_length_b 13.892
_cell_length_c 21.481
_cell_angle_alpha 90.00
_cell_angle_beta 90.00
_cell_angle_gamma 90.00
_symmetry_space_group_name_H-M 'C m c m'
_symmetry_Int_Tables_number 63
_symmetry_space_group_name_Hall '-C 2c 2'
loop_
_atom_site_label
_atom_site_fract_x
_atom_site_fract_y
_atom_site_fract_z
Ac1 0.000 0.159 0.250
Nd1 0.000 0.092 0.625
Nd2 0.000 0.359 0.538
Se1 0.000 0.000 0.000
Se2 0.000 0.180 0.750
Se3 0.000 0.266 0.092
Se4 0.000 0.452 0.665
```

The 12 most intense peaks (2θ = 10–80°), low angle first:
hkl	2theta	d (Å)	Rel. int.
0 2 5	24.4	3.654	47
0 2 6	28.0	3.182	32
1 3 1	28.9	3.090	34
1 3 2	29.8	2.998	100
1 3 3	31.3	2.862	49
1 1 7	36.8	2.445	19
1 1 8	40.3	2.237	36
1 5 4	42.4	2.131	30
0 6 4	42.5	2.126	32
2 0 0	42.8	2.114	34
0 4 10	49.9	1.829	22
2 6 4	61.9	1.499	22

(12)
Structure and computed PXRD pattern of Ba2ZnPb4Au3 (DFT lattice parameters and positions (PBE); Cu Kα).

Structural model:
```
data_Ba2ZnPb4Au3
_cell_length_a 4.970
_cell_length_b 4.970
_cell_length_c 11.856
_cell_angle_alpha 90.00
_cell_angle_beta 90.00
_cell_angle_gamma 90.00
_symmetry_space_group_name_H-M 'P -4 m 2'
_symmetry_Int_Tables_number 115
_symmetry_space_group_name_Hall 'P -4 -2'
loop_
_atom_site_label
_atom_site_fract_x
_atom_site_fract_y
_atom_site_fract_z
Ba1 0.000 0.500 0.240
Zn1 0.500 0.500 0.000
Pb1 0.000 0.000 0.500
Pb2 0.000 0.500 0.876
Pb3 0.500 0.500 0.500
Au1 0.000 0.000 0.000
Au2 0.000 0.500 0.637
```

The 12 most intense peaks (2θ = 10–80°), low angle first:
hkl	2theta	d (Å)	Rel. int.
1 0 1	19.4	4.584	32
1 0 3	28.9	3.093	64
1 1 2	29.5	3.023	100
2 0 0	36.1	2.485	91
1 1 4	39.8	2.266	68
1 0 5	42.2	2.140	32
2 1 3	46.9	1.937	34
2 2 0	52.0	1.757	32
2 1 5	56.8	1.622	27
3 1 2	61.0	1.519	26
3 1 4	67.4	1.389	30
2 0 8	74.6	1.273	22

(13)
Structure and computed PXRD pattern of PmPaS2O (DFT lattice parameters and positions (PBE); Cu Kα).

Structural model:
```
data_PmPaS2O
_cell_length_a 3.905
_cell_length_b 3.905
_cell_length_c 13.587
_cell_angle_alpha 90.00
_cell_angle_beta 90.00
_cell_angle_gamma 90.00
_symmetry_space_group_name_H-M 'P 4/n m m'
_symmetry_Int_Tables_number 129
loop_
_symmetry_equiv_pos_as_xyz
'x,y,z'
'-x,-y,-z'
'-y+1/2,x,z'
'y+1/2,-x,-z'
'-x+1/2,-y+1/2,z'
'x+1/2,y+1/2,-z'
'y,-x+1/2,z'
'-y,x+1/2,-z'
'x+1/2,-y,-z'
'-x+1/2,y,z'
'-y,-x,-z'
'y,x,z'
'-x,y+1/2,-z'
'x,-y+1/2,z'
'y+1/2,x+1/2,-z'
'-y+1/2,-x+1/2,z'
loop_
_atom_site_label
_atom_site_fract_x
_atom_site_fract_y
_atom_site_fract_z
Pm1 0.250 0.250 0.090
Pa1 0.250 0.250 0.606
S1 0.250 0.250 0.394
S2 0.250 0.250 0.796
O1 0.250 0.750 0.000
```

The 12 most intense peaks (2θ = 10–80°), low angle first:
hkl	2theta	d (Å)	Rel. int.
0 0 2	13.0	6.794	14
1 0 2	26.3	3.388	100
1 1 0	32.4	2.761	47
1 0 4	35.0	2.562	26
1 1 4	42.2	2.143	28
1 0 6	46.3	1.959	9
2 0 0	46.5	1.953	20
1 1 6	52.2	1.751	14
2 1 2	54.2	1.692	35
2 1 4	59.5	1.553	10
3 0 2	74.1	1.279	9
3 1 0	77.3	1.235	8